Structure and calculated powder X-ray diffraction pattern of Pu2Ir3Rh (a structure optimized by DFT (PBE); Cu Kα X-rays).
Neutral-atom scattering factors, no anomalous dispersion.

Structural model:
```
Pu2Ir3Rh
1.0
2.676 1.545 4.369
-2.676 1.545 4.369
0.000 -3.090 4.369
Pu Ir Rh
2 3 1
direct
0.125 0.125 0.125
0.875 0.875 0.875
0.000 0.500 0.500
0.500 0.000 0.500
0.500 0.500 0.000
0.500 0.500 0.500
```

Main lines, sorted by position (2θ = 10–80°):
| 2theta | intensity |
| --- | --- |
| 20.33 | 20 |
| 23.51 | 13 |
| 33.49 | 389 |
| 39.49 | 1000 |
| 41.33 | 295 |
| 48.09 | 13 |
| 54.20 | 7 |
| 59.87 | 154 |
| 63.92 | 332 |
| 70.37 | 270 |

***

Structure and calculated powder X-ray diffraction pattern of TbSm3Rh2 (a structure optimized by DFT (PBE); Cu Kα X-rays).
Neutral-atom scattering factors, no anomalous dispersion.

Structural model:
```
TbSm3Rh2
1.0
-3.412 6.867 3.604
3.412 -6.867 3.604
3.412 6.867 -3.604
Tb Sm Rh
2 6 4
direct
0.000 0.000 0.000
0.500 0.500 0.000
0.018 0.250 0.768
0.250 0.750 0.500
0.482 0.250 0.232
0.518 0.750 0.768
0.750 0.250 0.500
0.982 0.750 0.232
0.137 0.714 0.851
0.363 0.214 0.577
0.637 0.786 0.423
0.863 0.286 0.149
```

Main lines, sorted by position (2θ = 10–80°):
| 2theta | intensity |
| --- | --- |
| 22.12 | 564 |
| 25.95 | 308 |
| 26.12 | 377 |
| 28.76 | 402 |
| 34.29 | 868 |
| 36.13 | 403 |
| 36.26 | 432 |
| 37.15 | 1000 |
| 38.63 | 336 |
| 64.47 | 396 |

***

Structure and calculated powder X-ray diffraction pattern of K4RhS4 (a structure optimized by DFT (PBE); Cu Kα X-rays).
Neutral-atom scattering factors, no anomalous dispersion.

Structural model:
```
K4RhS4
1.0
-3.559 3.559 6.791
3.559 -3.559 6.791
3.559 3.559 -6.791
K Rh S
4 1 4
direct
0.000 0.500 0.500
0.202 0.202 0.000
0.500 0.000 0.500
0.798 0.798 0.000
0.500 0.500 0.000
0.218 0.557 0.000
0.443 0.443 0.661
0.557 0.218 0.000
0.782 0.782 0.339
```

Main lines, sorted by position (2θ = 10–80°):
| 2theta | intensity |
| --- | --- |
| 13.04 | 338 |
| 14.05 | 1000 |
| 17.62 | 323 |
| 21.98 | 256 |
| 23.28 | 314 |
| 25.02 | 283 |
| 34.44 | 512 |
| 35.68 | 256 |
| 36.58 | 408 |
| 43.04 | 177 |